[1]
Simulated PXRD pattern of Ta2InBr for Cu Kα, 1.54184 Å, from the PBE geometry in Alexandria.

abc: 3.3281 3.3281 29.7822
angles: 90.00 90.00 120.00
Space group R3m (No. 160, hexagonal axes)
Asymmetric unit:
Ta 0.0000 0.0000 0.0000 (multiplicity 3)
Ta 0.0000 0.0000 0.2684 (multiplicity 3)
In 0.0000 0.0000 0.5227 (multiplicity 3)
Br 0.0000 0.0000 0.7327 (multiplicity 3)

Main lines, by angle (5° ≤ 2θ ≤ 70°):
9.927 Å, rel. 100
2.688 Å, rel. 91
2.386 Å, rel. 28
2.279 Å, rel. 39
1.973 Å, rel. 27
1.664 Å, rel. 24

[2]
Simulated PXRD pattern of InTe2Br for Cu Kα, 1.54184 Å, from the PBE geometry in Alexandria.

abc: 3.8033 4.7204 8.3137
angles: 90.00 91.21 90.00
Space group Pm (No. 6)
Asymmetric unit:
In 0.0000 0.0000 0.0000 (multiplicity 1)
Te 0.9466 0.5000 0.3610 (multiplicity 1)
Te 0.9550 0.0000 0.5398 (multiplicity 1)
Br 0.4866 0.5000 0.8795 (multiplicity 1)

Main lines, by angle (5° ≤ 2θ ≤ 70°):
4.156 Å, rel. 52
3.802 Å, rel. 50
3.119 Å, rel. 100
2.804 Å, rel. 38
2.393 Å, rel. 37
1.902 Å, rel. 45

[3]
Simulated PXRD pattern of In3TeBr7 for Cu Kα, 1.54184 Å, from the PBE geometry in Alexandria.

abc: 13.9814 8.0578 9.9106
angles: 90.00 134.76 90.00
Space group Cm (No. 8)
Asymmetric unit:
In 0.0000 0.0000 0.0000 (multiplicity 2)
In 0.2383 0.2378 0.9997 (multiplicity 4)
Te 0.2874 0.0000 0.2579 (multiplicity 2)
Br 0.0056 0.2412 0.1997 (multiplicity 4)
Br 0.2009 0.0000 0.7660 (multiplicity 2)
Br 0.2111 0.5000 0.7696 (multiplicity 2)
Br 0.2645 0.5000 0.1984 (multiplicity 2)
Br 0.4623 0.2610 0.7663 (multiplicity 4)

Main lines, by angle (5° ≤ 2θ ≤ 70°):
7.031 Å, rel. 62
6.254 Å, rel. 19
3.128 Å, rel. 100
2.479 Å, rel. 57
2.016 Å, rel. 34
1.947 Å, rel. 28

[4]
Simulated PXRD pattern of InTe2Br for Cu Kα, 1.54184 Å, from the PBE geometry in Alexandria.

abc: 9.2227 4.3778 7.9772
angles: 90.00 107.61 90.00
Space group Cm (No. 8)
Asymmetric unit:
In 0.0000 0.0000 0.0000 (multiplicity 2)
Te 0.1775 0.5000 0.3052 (multiplicity 2)
Te 0.4324 0.0000 0.4360 (multiplicity 2)
Br 0.2606 0.0000 0.8454 (multiplicity 2)

Main lines, by angle (5° ≤ 2θ ≤ 70°):
7.603 Å, rel. 21
3.802 Å, rel. 31
3.435 Å, rel. 42
3.306 Å, rel. 100
2.510 Å, rel. 39
2.029 Å, rel. 22

[5]
Simulated PXRD pattern of ThIn6Br12 for Cu Kα, 1.54184 Å, from the PBE geometry in Alexandria.

abc: 14.0329 14.0329 12.9120
angles: 90.00 90.00 120.00
Space group R-3 (No. 148, hexagonal axes)
Asymmetric unit:
Th 0.0000 0.0000 0.0000 (multiplicity 3)
In 0.0002 0.2304 0.6233 (multiplicity 18)
Br 0.0105 0.7984 0.6220 (multiplicity 18)
Br 0.0126 0.8374 0.1239 (multiplicity 18)

Main lines, by angle (5° ≤ 2θ ≤ 70°):
5.498 Å, rel. 60
4.328 Å, rel. 100
3.120 Å, rel. 31
2.652 Å, rel. 91
2.641 Å, rel. 74
2.259 Å, rel. 55

[6]
Simulated PXRD pattern of TiInBr4 for Cu Kα, 1.54184 Å, from the PBE geometry in Alexandria.

abc: 13.6151 3.9281 8.0392
angles: 90.00 106.59 90.00
Space group C2/m (No. 12)
Asymmetric unit:
Ti 0.0000 0.0000 0.0000 (multiplicity 2)
In 0.0000 0.5000 0.5000 (multiplicity 2)
Br 0.1092 0.5000 0.9165 (multiplicity 4)
Br 0.1214 0.0000 0.3048 (multiplicity 4)

Main lines, by angle (5° ≤ 2θ ≤ 70°):
6.524 Å, rel. 69
3.495 Å, rel. 22
2.967 Å, rel. 42
2.918 Å, rel. 100
2.207 Å, rel. 20
1.973 Å, rel. 31

[7]
Simulated PXRD pattern of Tl3In2Br5 for Cu Kα, 1.54184 Å, from the PBE geometry in Alexandria.

abc: 15.7665 4.7620 11.6090
angles: 90.00 119.33 90.00
Space group C2/m (No. 12)
Asymmetric unit:
Tl 0.0000 0.0000 0.0000 (multiplicity 2)
Tl 0.2017 0.0000 0.7996 (multiplicity 4)
In 0.0991 0.5000 0.4005 (multiplicity 4)
Br 0.0000 0.0000 0.5000 (multiplicity 2)
Br 0.0994 0.5000 0.8982 (multiplicity 4)
Br 0.1993 0.0000 0.3028 (multiplicity 4)

Main lines, by angle (5° ≤ 2θ ≤ 70°):
3.364 Å, rel. 50
3.361 Å, rel. 100
2.381 Å, rel. 59
2.373 Å, rel. 58
1.505 Å, rel. 28
1.502 Å, rel. 28

[8]
Simulated PXRD pattern of Tl2InBr for Cu Kα, 1.54184 Å, from the PBE geometry in Alexandria.

abc: 4.5777 4.5777 6.4200
angles: 90.00 90.00 90.00
Space group P4mm (No. 99)
Asymmetric unit:
Tl 0.0000 0.0000 0.0000 (multiplicity 1)
Tl 0.5000 0.5000 0.4958 (multiplicity 1)
In 0.5000 0.5000 0.9956 (multiplicity 1)
Br 0.0000 0.0000 0.5000 (multiplicity 1)

Main lines, by angle (5° ≤ 2θ ≤ 70°):
3.727 Å, rel. 30
3.237 Å, rel. 100
3.210 Å, rel. 49
2.289 Å, rel. 39
2.279 Å, rel. 77
1.864 Å, rel. 42